[1]
SmTl4Te3: simulated XRD peak list (copper Kα), based on DFT lattice parameters and positions (GGA-PBE).

Crystal structure
abc: 9.0727 9.0727 9.0727
angles: 121.89 121.89 86.76
Fractional coordinates of all 16 atoms:
Sm (0.0000, 0.0000, 0.0000)
Sm (0.5000, 0.5000, 0.0000)
Tl (0.0207, 0.5207, 0.2108)
Tl (0.1901, 0.9793, 0.5000)
Tl (0.3099, 0.8099, 0.7892)
Tl (0.4793, 0.6901, 0.5000)
Tl (0.5207, 0.3099, 0.5000)
Tl (0.6901, 0.1901, 0.2108)
Tl (0.8099, 0.0207, 0.5000)
Tl (0.9793, 0.4793, 0.7892)
Te (0.1692, 0.3308, 0.5000)
Te (0.2500, 0.2500, 0.0000)
Te (0.3308, 0.8308, 0.1616)
Te (0.6692, 0.1692, 0.8384)
Te (0.7500, 0.7500, 0.0000)
Te (0.8308, 0.6692, 0.5000)

The 12 most intense peaks (10° ≤ 2θ ≤ 80°), by intensity:
2θ/deg  Rel. int.
30.5  100
32.1  49
60.4  20
68.3  14
53.1  13
59.4  13
47.3  11
30.7  11
41.1  10
43.6  10
61.4  10
46.1  9


[2]
KHfTePdSeS: simulated XRD peak list (copper Kα), based on DFT lattice parameters and positions (GGA-PBE).

Crystal structure
abc: 8.6744 3.8811 9.8572
angles: 90.00 112.23 90.00
Fractional coordinates of all 12 atoms:
K (0.2236, 0.2500, 0.2220)
K (0.7764, 0.7500, 0.7780)
Hf (0.1760, 0.7500, 0.6601)
Hf (0.8240, 0.2500, 0.3399)
Te (0.4136, 0.2500, 0.6356)
Te (0.5864, 0.7500, 0.3644)
Pd (0.3951, 0.2500, 0.9070)
Pd (0.6049, 0.7500, 0.0930)
Se (0.2320, 0.7500, 0.9433)
Se (0.7680, 0.2500, 0.0567)
S (0.0327, 0.7500, 0.3727)
S (0.9673, 0.2500, 0.6273)

The 12 most intense peaks (10° ≤ 2θ ≤ 80°), by intensity:
2θ/deg  Rel. int.
11.6  100
32.1  39
30.9  25
44.2  24
35.8  20
28.8  17
29.4  17
25.8  16
46.8  15
38.9  13
17.3  12
35.3  11


[3]
NiAs2: simulated XRD peak list (copper Kα), based on DFT lattice parameters and positions (GGA-PBE).

Crystal structure
abc: 5.7994 5.8683 11.4881
angles: 90.00 90.00 90.00
Fractional coordinates of all 24 atoms:
Ni (0.0052, 0.1741, 0.1285)
Ni (0.0052, 0.3259, 0.6285)
Ni (0.4948, 0.6741, 0.1285)
Ni (0.4948, 0.8259, 0.6285)
Ni (0.5052, 0.1741, 0.3715)
Ni (0.5052, 0.3259, 0.8715)
Ni (0.9948, 0.6741, 0.3715)
Ni (0.9948, 0.8259, 0.8715)
As (0.1198, 0.5528, 0.1814)
As (0.1198, 0.9472, 0.6814)
As (0.1379, 0.1899, 0.9316)
As (0.1379, 0.3101, 0.4316)
As (0.3621, 0.6899, 0.9316)
As (0.3621, 0.8101, 0.4316)
As (0.3802, 0.0528, 0.1814)
As (0.3802, 0.4472, 0.6814)
As (0.6198, 0.5528, 0.3186)
As (0.6198, 0.9472, 0.8186)
As (0.6379, 0.1899, 0.5684)
As (0.6379, 0.3101, 0.0684)
As (0.8621, 0.6899, 0.5684)
As (0.8621, 0.8101, 0.0684)
As (0.8802, 0.0528, 0.3186)
As (0.8802, 0.4472, 0.8186)

The 12 most intense peaks (10° ≤ 2θ ≤ 80°), by intensity:
2θ/deg  Rel. int.
34.9  100
35.4  92
52.3  67
49.8  57
37.8  52
38.0  50
34.3  48
31.1  43
35.2  42
45.2  42
52.7  40
31.5  38


Repeat the second record exactly.
KHfTePdSeS: simulated XRD peak list (copper Kα), based on DFT lattice parameters and positions (GGA-PBE).

Crystal structure
abc: 8.6744 3.8811 9.8572
angles: 90.00 112.23 90.00
Fractional coordinates of all 12 atoms:
K (0.2236, 0.2500, 0.2220)
K (0.7764, 0.7500, 0.7780)
Hf (0.1760, 0.7500, 0.6601)
Hf (0.8240, 0.2500, 0.3399)
Te (0.4136, 0.2500, 0.6356)
Te (0.5864, 0.7500, 0.3644)
Pd (0.3951, 0.2500, 0.9070)
Pd (0.6049, 0.7500, 0.0930)
Se (0.2320, 0.7500, 0.9433)
Se (0.7680, 0.2500, 0.0567)
S (0.0327, 0.7500, 0.3727)
S (0.9673, 0.2500, 0.6273)

The 12 most intense peaks (10° ≤ 2θ ≤ 80°), by intensity:
2θ/deg  Rel. int.
11.6  100
32.1  39
30.9  25
44.2  24
35.8  20
28.8  17
29.4  17
25.8  16
46.8  15
38.9  13
17.3  12
35.3  11